# 1
Starting from the PBE geometry in Alexandria, the powder XRD pattern of Cs2VBr5Cl was simulated for Cu Kα (λ = 1.5418 Å).
Lines closer than 0.1° are merged.

Crystal structure
```
data_Cs2VBr5Cl
_chemical_formula_sum 'Cs4 V2 Br10 Cl2'
_cell_length_a 7.724
_cell_length_b 7.724
_cell_length_c 10.929
_cell_angle_alpha 90.00
_cell_angle_beta 90.00
_cell_angle_gamma 90.00
_symmetry_space_group_name_H-M 'I 4 m m'
_symmetry_Int_Tables_number 107
_symmetry_space_group_name_Hall 'I 4 -2'
loop_
_atom_site_label
_atom_site_fract_x
_atom_site_fract_y
_atom_site_fract_z
Cs1 0.000 0.500 0.000
V1 0.000 0.000 0.248
Br1 0.000 0.000 0.477
Br2 0.230 0.230 0.250
Cl1 0.000 0.000 0.036
```

Most intense lines, 10 to 90 degrees two-theta, in order of falling intensity:
28.3 deg, d = 3.154 Å, rel. 100.0; 32.8 deg, d = 2.731 Å, rel. 66.8; 47.1 deg, d = 1.931 Å, rel. 44.2; 55.8 deg, d = 1.647 Å, rel. 37.4; 14.0 deg, d = 6.307 Å, rel. 19.7; 23.0 deg, d = 3.863 Å, rel. 19.5

# 2
Starting from the PBE geometry in Alexandria, the powder XRD pattern of Sm2InHPd6 was simulated for Cu Kα (λ = 1.5418 Å).
Lines closer than 0.1° are merged.

Crystal structure
```
data_Sm2InHPd6
_chemical_formula_sum 'Sm4 In2 H2 Pd12'
_cell_length_a 9.994
_cell_length_b 5.754
_cell_length_c 7.206
_cell_angle_alpha 90.00
_cell_angle_beta 117.90
_cell_angle_gamma 90.00
_symmetry_space_group_name_H-M 'C 1 2/m 1'
_symmetry_Int_Tables_number 12
_symmetry_space_group_name_Hall '-C 2y'
loop_
_atom_site_label
_atom_site_fract_x
_atom_site_fract_y
_atom_site_fract_z
Sm1 0.231 0.000 0.202
In1 0.000 0.500 0.000
H1 0.000 0.000 0.500
Pd1 0.019 0.248 0.319
Pd2 0.226 0.000 0.671
```

Most intense lines, 10 to 90 degrees two-theta, in order of falling intensity:
40.8 deg, d = 2.211 Å, rel. 100.0; 37.3 deg, d = 2.411 Å, rel. 64.4; 37.1 deg, d = 2.421 Å, rel. 30.6; 28.0 deg, d = 3.184 Å, rel. 29.8; 37.6 deg, d = 2.391 Å, rel. 25.8; 34.2 deg, d = 2.621 Å, rel. 22.2

# 3
Starting from the PBE geometry in Alexandria, the powder XRD pattern of DyZn2GaCu4 was simulated for Cu Kα (λ = 1.5418 Å).
Lines closer than 0.1° are merged.

Crystal structure
```
data_DyZn2GaCu4
_chemical_formula_sum 'Dy3 Zn6 Ga3 Cu12'
_cell_length_a 4.2074
_cell_length_b 4.2074
_cell_length_c 24.4807
_cell_angle_alpha 90.00
_cell_angle_beta 90.00
_cell_angle_gamma 120.00
_symmetry_space_group_name_H-M 'R -3 m'
_symmetry_Int_Tables_number 166
_symmetry_space_group_name_Hall '-R 3 2"'
loop_
_atom_site_label
_atom_site_fract_x
_atom_site_fract_y
_atom_site_fract_z
Dy1 0.0000 0.0000 0.0000
Zn1 0.0000 0.0000 0.2460
Ga1 0.0000 0.0000 0.5000
Cu1 0.0000 0.0000 0.1290
Cu2 0.0000 0.0000 0.4008
```

Most intense lines, 10 to 90 degrees two-theta, in order of falling intensity:
43.0 deg, d = 2.104 Å, rel. 100.0; 38.4 deg, d = 2.343 Å, rel. 97.0; 59.0 deg, d = 1.565 Å, rel. 26.4; 75.7 deg, d = 1.256 Å, rel. 24.4; 35.6 deg, d = 2.523 Å, rel. 19.8; 78.8 deg, d = 1.215 Å, rel. 16.8

Please write out number 1 again, unchanged.
Starting from the PBE geometry in Alexandria, the powder XRD pattern of Cs2VBr5Cl was simulated for Cu Kα (λ = 1.5418 Å).
Lines closer than 0.1° are merged.

Crystal structure
```
data_Cs2VBr5Cl
_chemical_formula_sum 'Cs4 V2 Br10 Cl2'
_cell_length_a 7.724
_cell_length_b 7.724
_cell_length_c 10.929
_cell_angle_alpha 90.00
_cell_angle_beta 90.00
_cell_angle_gamma 90.00
_symmetry_space_group_name_H-M 'I 4 m m'
_symmetry_Int_Tables_number 107
_symmetry_space_group_name_Hall 'I 4 -2'
loop_
_atom_site_label
_atom_site_fract_x
_atom_site_fract_y
_atom_site_fract_z
Cs1 0.000 0.500 0.000
V1 0.000 0.000 0.248
Br1 0.000 0.000 0.477
Br2 0.230 0.230 0.250
Cl1 0.000 0.000 0.036
```

Most intense lines, 10 to 90 degrees two-theta, in order of falling intensity:
28.3 deg, d = 3.154 Å, rel. 100.0; 32.8 deg, d = 2.731 Å, rel. 66.8; 47.1 deg, d = 1.931 Å, rel. 44.2; 55.8 deg, d = 1.647 Å, rel. 37.4; 14.0 deg, d = 6.307 Å, rel. 19.7; 23.0 deg, d = 3.863 Å, rel. 19.5